Diffraction record for RbMg3S4O12. The PXRD pattern is simulated, not measured: it uses the PBE geometry in Alexandria and Cu Kα, 1.54184 Å.
Neutral-atom scattering factors, no anomalous dispersion.

Crystal structure
```
RbMg3S4O12
1.0
5.2765 3.0464 2.8685
-5.2765 3.0464 2.8685
0.0000 -6.0928 2.8685
Rb Mg S O
1 3 4 12
Direct
0.0000 0.0000 0.0000
0.0000 0.5694 0.4306
0.4306 0.0000 0.5694
0.5694 0.4306 0.0000
0.0715 0.5000 0.9285
0.5000 0.5000 0.5000
0.5000 0.9285 0.0715
0.9285 0.0714 0.5000
0.0185 0.6046 0.7527
0.0771 0.9229 0.5000
0.2473 0.3954 0.9815
0.3317 0.6683 0.5000
0.3954 0.9815 0.2473
0.5000 0.0771 0.9229
0.5000 0.3317 0.6683
0.6046 0.7527 0.0185
0.6683 0.5000 0.3317
0.7527 0.0185 0.6046
0.9229 0.5000 0.0771
0.9815 0.2473 0.3954
```

Most intense lines, 10 to 90 degrees two-theta, sorted by position:
2θ = 27.8°, I = 27
2θ = 28.5°, I = 100
2θ = 29.3°, I = 16
2θ = 33.3°, I = 26
2θ = 35.6°, I = 16
2θ = 37.0°, I = 16
2θ = 46.7°, I = 16
2θ = 63.6°, I = 15